[1]
# PrZn11Pt
Theoretical X-ray diffraction stick pattern, CuKα. Input: a PBE-relaxed structure.
Peak positions follow from Bragg's law for the DFT cell and can differ from measured ones.

Structure:
```
data_PrZn11Pt
_space_group_name_H-M_alt 'C 1 2/m 1'
_space_group_IT_number 12
_cell_length_a 5.235
_cell_length_b 12.740
_cell_length_c 6.856
_cell_angle_alpha 90.00
_cell_angle_beta 111.88
_cell_angle_gamma 90.00
loop_
_space_group_symop_operation_xyz
'x,y,z'
'-x,-y,-z'
'-x,y,-z'
'x,-y,z'
'x+1/2,y+1/2,z'
'-x+1/2,-y+1/2,-z'
'-x+1/2,y+1/2,-z'
'x+1/2,-y+1/2,z'
loop_
_atom_site_label
_atom_site_type_symbol
_atom_site_fract_x
_atom_site_fract_y
_atom_site_fract_z
Pr1 Pr 0.000 0.000 0.000
Zn1 Zn 0.000 0.500 0.500
Zn2 Zn 0.107 0.389 0.220
Zn3 Zn 0.164 0.177 0.356
Zn4 Zn 0.250 0.250 0.000
Pt1 Pt 0.000 0.000 0.500
```

The 10 most intense peaks (2θ = 15–90°), in order of rising 2θ:
19.71°, intensity 17, hkl 0 2 1
28.07°, intensity 24, hkl 1 1 -2
34.31°, intensity 14, hkl 2 0 -1
34.55°, intensity 28, hkl 1 3 -2
39.72°, intensity 37, hkl 2 2 0
39.94°, intensity 100, hkl 2 2 -2
40.06°, intensity 67, hkl 0 4 2
44.84°, intensity 30, hkl 2 4 -1
45.04°, intensity 35, hkl 2 0 -3
65.58°, intensity 14, hkl 3 1 -4

***

[2]
# Pr3ZnPt
Theoretical X-ray diffraction stick pattern, CuKα. Input: a PBE-relaxed structure.
Peak positions follow from Bragg's law for the DFT cell and can differ from measured ones.

Structure:
```
data_Pr3ZnPt
_space_group_name_H-M_alt 'P 1 21/c 1'
_space_group_IT_number 14
_cell_length_a 9.470
_cell_length_b 7.628
_cell_length_c 8.425
_cell_angle_alpha 90.00
_cell_angle_beta 108.38
_cell_angle_gamma 90.00
loop_
_space_group_symop_operation_xyz
'x,y,z'
'-x,-y,-z'
'-x,y+1/2,-z+1/2'
'x,-y+1/2,z+1/2'
loop_
_atom_site_label
_atom_site_type_symbol
_atom_site_fract_x
_atom_site_fract_y
_atom_site_fract_z
Pr1 Pr 0.070 0.004 0.211
Pr2 Pr 0.307 0.155 0.611
Pr3 Pr 0.354 0.681 0.492
Zn1 Zn 0.064 0.657 0.039
Pt1 Pt 0.408 0.033 0.317
```

The 10 most intense peaks (2θ = 15–90°), in order of rising 2θ:
16.92°, intensity 51, hkl 1 1 -1
27.37°, intensity 37, hkl 2 1 -2
29.82°, intensity 39, hkl 3 0 0
30.72°, intensity 78, hkl 3 1 -1
32.44°, intensity 69, hkl 0 2 2
34.02°, intensity 100, hkl 1 1 -3
34.92°, intensity 53, hkl 2 2 1
37.13°, intensity 40, hkl 3 1 1
37.51°, intensity 63, hkl 1 3 -1
39.30°, intensity 30, hkl 4 0 -2

***

[3]
# Pr3Zn8Pt3
Theoretical X-ray diffraction stick pattern, CuKα. Input: a PBE-relaxed structure.
Peak positions follow from Bragg's law for the DFT cell and can differ from measured ones.

Structure:
```
data_Pr3Zn8Pt3
_space_group_name_H-M_alt 'I m m m'
_space_group_IT_number 71
_space_group_name_Hall '-I 2 2'
_cell_length_a 4.275
_cell_length_b 9.509
_cell_length_c 13.196
_cell_angle_alpha 90.00
_cell_angle_beta 90.00
_cell_angle_gamma 90.00
loop_
_atom_site_label
_atom_site_type_symbol
_atom_site_fract_x
_atom_site_fract_y
_atom_site_fract_z
Pr1 Pr 0.000 0.000 0.000
Pr2 Pr 0.000 0.000 0.327
Zn1 Zn 0.000 0.278 0.123
Zn2 Zn 0.000 0.362 0.320
Pt1 Pt 0.000 0.238 0.500
Pt2 Pt 0.000 0.500 0.000
```

The 10 most intense peaks (2θ = 15–90°), in order of rising 2θ:
28.89°, intensity 20, hkl 1 2 1
34.83°, intensity 100, hkl 1 2 3
37.86°, intensity 24, hkl 0 4 0
40.15°, intensity 11, hkl 1 0 5
40.33°, intensity 12, hkl 0 4 2
41.04°, intensity 17, hkl 0 0 6
42.28°, intensity 26, hkl 2 0 0
44.62°, intensity 24, hkl 1 2 5
66.41°, intensity 16, hkl 1 6 3
72.50°, intensity 11, hkl 3 2 3

***

[4]
# Pr2ZnPt6
Theoretical X-ray diffraction stick pattern, CuKα. Input: a PBE-relaxed structure.
Peak positions follow from Bragg's law for the DFT cell and can differ from measured ones.

Structure:
```
data_Pr2ZnPt6
_space_group_name_H-M_alt 'P -3 m 1'
_space_group_IT_number 164
_space_group_name_Hall '-P 3 2"'
_cell_length_a 5.7133
_cell_length_b 5.7133
_cell_length_c 6.0970
_cell_angle_alpha 90.00
_cell_angle_beta 90.00
_cell_angle_gamma 120.00
loop_
_atom_site_label
_atom_site_type_symbol
_atom_site_fract_x
_atom_site_fract_y
_atom_site_fract_z
Pr1 Pr 0.3333 0.6667 0.3445
Zn1 Zn 0.0000 0.0000 0.5000
Pt1 Pt 0.1726 0.3451 0.8150
```

The 10 most intense peaks (2θ = 15–90°), in order of rising 2θ:
29.30°, intensity 19, hkl 0 0 2
34.56°, intensity 27, hkl 1 0 2
34.68°, intensity 16, hkl 1 1 1
36.31°, intensity 20, hkl 2 0 0
39.30°, intensity 100, hkl 0 2 1
47.32°, intensity 24, hkl 2 0 2
57.87°, intensity 14, hkl 3 0 1
65.33°, intensity 19, hkl 2 2 0
72.89°, intensity 9, hkl 0 2 4
78.98°, intensity 13, hkl 4 0 1

***

[5]
# Pr3ZnPt
Theoretical X-ray diffraction stick pattern, CuKα. Input: a PBE-relaxed structure.
Peak positions follow from Bragg's law for the DFT cell and can differ from measured ones.

Structure:
```
data_Pr3ZnPt
_space_group_name_H-M_alt 'P 1'
_space_group_IT_number 1
_cell_length_a 5.977
_cell_length_b 6.196
_cell_length_c 8.262
_cell_angle_alpha 96.42
_cell_angle_beta 93.44
_cell_angle_gamma 110.89
loop_
_space_group_symop_operation_xyz
'x,y,z'
loop_
_atom_site_label
_atom_site_type_symbol
_atom_site_fract_x
_atom_site_fract_y
_atom_site_fract_z
Pr1 Pr 0.000 0.000 0.000
Pr2 Pr 0.033 0.748 0.373
Pr3 Pr 0.278 0.626 0.809
Pr4 Pr 0.386 0.360 0.391
Pr5 Pr 0.642 0.350 0.994
Pr6 Pr 0.742 0.075 0.599
Zn1 Zn 0.510 0.828 0.188
Zn2 Zn 0.771 0.610 0.694
Pt1 Pt 0.260 0.098 0.694
Pt2 Pt 0.862 0.243 0.288
```

The 10 most intense peaks (2θ = 15–90°), in order of rising 2θ:
30.41°, intensity 64, hkl 1 -2 1
31.56°, intensity 63, hkl 1 1 -2
31.74°, intensity 76, hkl -2 1 1
32.37°, intensity 54, hkl -1 2 1
32.92°, intensity 57, hkl 0 0 3
34.63°, intensity 82, hkl 0 2 1
35.13°, intensity 52, hkl 1 0 -3
35.25°, intensity 69, hkl 2 0 1
35.62°, intensity 70, hkl 0 2 -2
37.16°, intensity 100, hkl 2 0 -2

***

[6]
# Pr2Zn4Pt5
Theoretical X-ray diffraction stick pattern, CuKα. Input: a PBE-relaxed structure.
Peak positions follow from Bragg's law for the DFT cell and can differ from measured ones.

Structure:
```
data_Pr2Zn4Pt5
_space_group_name_H-M_alt 'F m m m'
_space_group_IT_number 69
_space_group_name_Hall '-F 2 2'
_cell_length_a 5.678
_cell_length_b 9.428
_cell_length_c 15.792
_cell_angle_alpha 90.00
_cell_angle_beta 90.00
_cell_angle_gamma 90.00
loop_
_atom_site_label
_atom_site_type_symbol
_atom_site_fract_x
_atom_site_fract_y
_atom_site_fract_z
Pr1 Pr 0.000 0.000 0.127
Zn1 Zn 0.000 0.156 0.370
Pt1 Pt 0.000 0.000 0.500
Pt2 Pt 0.250 0.250 0.000
Pt3 Pt 0.250 0.250 0.250
```

The 10 most intense peaks (2θ = 15–90°), in order of rising 2θ:
18.82°, intensity 21, hkl 0 2 0
24.92°, intensity 21, hkl 1 1 3
29.51°, intensity 50, hkl 0 2 4
36.93°, intensity 100, hkl 2 2 0
38.18°, intensity 24, hkl 0 4 0
39.08°, intensity 55, hkl 2 0 4
43.69°, intensity 56, hkl 2 2 4
44.78°, intensity 22, hkl 0 4 4
45.98°, intensity 30, hkl 0 0 8
60.40°, intensity 31, hkl 2 2 8

***

[7]
# PrPu4
Theoretical X-ray diffraction stick pattern, CuKα. Input: a PBE-relaxed structure.
Peak positions follow from Bragg's law for the DFT cell and can differ from measured ones.

Structure:
```
data_PrPu4
_space_group_name_H-M_alt 'P m -3 m'
_space_group_IT_number 221
_space_group_name_Hall '-P 4 2 3'
_cell_length_a 5.577
_cell_length_b 5.577
_cell_length_c 5.577
_cell_angle_alpha 90.00
_cell_angle_beta 90.00
_cell_angle_gamma 90.00
loop_
_atom_site_label
_atom_site_type_symbol
_atom_site_fract_x
_atom_site_fract_y
_atom_site_fract_z
Pr1 Pr 0.000 0.000 0.000
Pu1 Pu 0.000 0.000 0.500
Pu2 Pu 0.500 0.500 0.500
```

The 10 most intense peaks (2θ = 15–90°), in order of rising 2θ:
15.89°, intensity 9, hkl 1 0 0
27.70°, intensity 100, hkl 1 1 1
32.10°, intensity 96, hkl 2 0 0
46.03°, intensity 72, hkl 2 2 0
54.57°, intensity 48, hkl 3 1 1
57.22°, intensity 26, hkl 2 2 2
67.13°, intensity 12, hkl 4 0 0
74.10°, intensity 20, hkl 3 3 1
76.37°, intensity 34, hkl 4 2 0
85.25°, intensity 26, hkl 4 2 2

***

[8]
# PrPuRe
Theoretical X-ray diffraction stick pattern, CuKα. Input: a PBE-relaxed structure.
Peak positions follow from Bragg's law for the DFT cell and can differ from measured ones.

Structure:
```
data_PrPuRe
_space_group_name_H-M_alt 'C m c e'
_space_group_IT_number 64
_space_group_name_Hall '-C 2ac 2'
_cell_length_a 6.337
_cell_length_b 14.268
_cell_length_c 6.969
_cell_angle_alpha 90.00
_cell_angle_beta 90.00
_cell_angle_gamma 90.00
loop_
_atom_site_label
_atom_site_type_symbol
_atom_site_fract_x
_atom_site_fract_y
_atom_site_fract_z
Pr1 Pr 0.000 0.190 0.078
Pu1 Pu 0.250 0.023 0.750
Re1 Re 0.000 0.100 0.474
```

The 10 most intense peaks (2θ = 15–90°), in order of rising 2θ:
19.93°, intensity 43, hkl 1 1 1
28.11°, intensity 34, hkl 0 4 1
28.51°, intensity 48, hkl 0 2 2
30.88°, intensity 55, hkl 2 2 0
36.03°, intensity 56, hkl 0 4 2
36.87°, intensity 84, hkl 1 5 1
37.98°, intensity 49, hkl 2 4 0
38.40°, intensity 100, hkl 2 0 2
40.50°, intensity 35, hkl 2 2 2
58.24°, intensity 26, hkl 4 0 0

***

[9]
# Pr2PuRh9
Theoretical X-ray diffraction stick pattern, CuKα. Input: a PBE-relaxed structure.
Peak positions follow from Bragg's law for the DFT cell and can differ from measured ones.

Structure:
```
data_Pr2PuRh9
_space_group_name_H-M_alt 'R -3 m'
_space_group_IT_number 166
_space_group_name_Hall '-R 3 2"'
_cell_length_a 5.3050
_cell_length_b 5.3050
_cell_length_c 26.7284
_cell_angle_alpha 90.00
_cell_angle_beta 90.00
_cell_angle_gamma 120.00
loop_
_atom_site_label
_atom_site_type_symbol
_atom_site_fract_x
_atom_site_fract_y
_atom_site_fract_z
Pr1 Pr 0.0000 0.0000 0.1385
Pu1 Pu 0.0000 0.0000 0.0000
Rh1 Rh 0.0000 0.0000 0.3330
Rh2 Rh 0.0000 0.0000 0.5000
Rh3 Rh 0.0007 0.5003 0.0810
```

The 10 most intense peaks (2θ = 15–90°), in order of rising 2θ:
30.44°, intensity 31, hkl 1 0 7
33.15°, intensity 33, hkl 0 1 8
33.79°, intensity 37, hkl 1 1 0
39.37°, intensity 36, hkl 0 2 1
39.54°, intensity 100, hkl 1 1 6
39.82°, intensity 16, hkl 2 0 2
40.50°, intensity 20, hkl 0 0 12
42.85°, intensity 18, hkl 2 0 5
64.32°, intensity 24, hkl 3 0 6
71.08°, intensity 23, hkl 2 2 0

***

[10]
# Pr2PuZn2Rh5
Theoretical X-ray diffraction stick pattern, CuKα. Input: a PBE-relaxed structure.
Peak positions follow from Bragg's law for the DFT cell and can differ from measured ones.

Structure:
```
data_Pr2PuZn2Rh5
_space_group_name_H-M_alt 'P 4/m b m'
_space_group_IT_number 127
_space_group_name_Hall '-P 4 2ab'
_cell_length_a 9.972
_cell_length_b 9.972
_cell_length_c 3.738
_cell_angle_alpha 90.00
_cell_angle_beta 90.00
_cell_angle_gamma 90.00
loop_
_atom_site_label
_atom_site_type_symbol
_atom_site_fract_x
_atom_site_fract_y
_atom_site_fract_z
Pr1 Pr 0.173 0.327 0.000
Pu1 Pu 0.000 0.000 0.000
Zn1 Zn 0.123 0.623 0.000
Rh1 Rh 0.000 0.500 0.500
Rh2 Rh 0.067 0.794 0.500
```

The 10 most intense peaks (2θ = 15–90°), in order of rising 2θ:
31.22°, intensity 17, hkl 2 1 1
34.98°, intensity 28, hkl 2 2 1
37.17°, intensity 31, hkl 4 1 0
37.30°, intensity 100, hkl 3 1 1
40.45°, intensity 21, hkl 4 2 0
40.57°, intensity 21, hkl 3 2 1
48.71°, intensity 19, hkl 0 0 2
62.83°, intensity 13, hkl 4 1 2
65.12°, intensity 10, hkl 4 2 2
71.50°, intensity 10, hkl 7 1 1

***

[11]
# PrPu2Ru2
Theoretical X-ray diffraction stick pattern, CuKα. Input: a PBE-relaxed structure.
Peak positions follow from Bragg's law for the DFT cell and can differ from measured ones.

Structure:
```
data_PrPu2Ru2
_space_group_name_H-M_alt 'I 4/m m m'
_space_group_IT_number 139
_space_group_name_Hall '-I 4 2'
_cell_length_a 4.474
_cell_length_b 4.474
_cell_length_c 23.003
_cell_angle_alpha 90.00
_cell_angle_beta 90.00
_cell_angle_gamma 90.00
loop_
_atom_site_label
_atom_site_type_symbol
_atom_site_fract_x
_atom_site_fract_y
_atom_site_fract_z
Pr1 Pr 0.000 0.000 0.135
Pu1 Pu 0.000 0.000 0.315
Pu2 Pu 0.000 0.500 0.000
Ru1 Ru 0.000 0.000 0.424
Ru2 Ru 0.000 0.500 0.250
```

The 10 most intense peaks (2θ = 15–90°), in order of rising 2θ:
27.82°, intensity 20, hkl 1 0 5
29.28°, intensity 28, hkl 1 1 2
32.30°, intensity 100, hkl 1 1 4
33.85°, intensity 29, hkl 1 0 7
40.32°, intensity 67, hkl 2 0 0
42.49°, intensity 48, hkl 1 1 8
48.03°, intensity 22, hkl 1 0 11
58.34°, intensity 23, hkl 2 2 0
68.27°, intensity 23, hkl 3 1 4
74.79°, intensity 18, hkl 3 1 8

***

[12]
# PrPuTlRu
Theoretical X-ray diffraction stick pattern, CuKα. Input: a PBE-relaxed structure.
Peak positions follow from Bragg's law for the DFT cell and can differ from measured ones.

Structure:
```
data_PrPuTlRu
_space_group_name_H-M_alt 'P 4 m m'
_space_group_IT_number 99
_cell_length_a 3.408
_cell_length_b 3.408
_cell_length_c 8.577
_cell_angle_alpha 90.00
_cell_angle_beta 90.00
_cell_angle_gamma 90.00
loop_
_space_group_symop_operation_xyz
'x,y,z'
'-y,x,z'
'-x,-y,z'
'y,-x,z'
'-x,y,z'
'y,x,z'
'x,-y,z'
'-y,-x,z'
loop_
_atom_site_label
_atom_site_type_symbol
_atom_site_fract_x
_atom_site_fract_y
_atom_site_fract_z
Pr1 Pr 0.000 0.000 0.000
Pu1 Pu 0.000 0.000 0.592
Tl1 Tl 0.500 0.500 0.304
Ru1 Ru 0.500 0.500 0.776
```

The 10 most intense peaks (2θ = 15–90°), in order of rising 2θ:
28.17°, intensity 19, hkl 1 0 1
31.29°, intensity 12, hkl 0 0 3
33.59°, intensity 100, hkl 1 0 2
37.31°, intensity 46, hkl 1 1 0
49.46°, intensity 14, hkl 1 1 3
53.79°, intensity 16, hkl 2 0 0
57.53°, intensity 11, hkl 1 1 4
60.41°, intensity 12, hkl 1 0 5
64.92°, intensity 30, hkl 2 1 2
85.15°, intensity 10, hkl 2 1 5

***

What did the sixth record say?
# Pr2Zn4Pt5
Theoretical X-ray diffraction stick pattern, CuKα. Input: a PBE-relaxed structure.
Peak positions follow from Bragg's law for the DFT cell and can differ from measured ones.

Structure:
```
data_Pr2Zn4Pt5
_space_group_name_H-M_alt 'F m m m'
_space_group_IT_number 69
_space_group_name_Hall '-F 2 2'
_cell_length_a 5.678
_cell_length_b 9.428
_cell_length_c 15.792
_cell_angle_alpha 90.00
_cell_angle_beta 90.00
_cell_angle_gamma 90.00
loop_
_atom_site_label
_atom_site_type_symbol
_atom_site_fract_x
_atom_site_fract_y
_atom_site_fract_z
Pr1 Pr 0.000 0.000 0.127
Zn1 Zn 0.000 0.156 0.370
Pt1 Pt 0.000 0.000 0.500
Pt2 Pt 0.250 0.250 0.000
Pt3 Pt 0.250 0.250 0.250
```

The 10 most intense peaks (2θ = 15–90°), in order of rising 2θ:
18.82°, intensity 21, hkl 0 2 0
24.92°, intensity 21, hkl 1 1 3
29.51°, intensity 50, hkl 0 2 4
36.93°, intensity 100, hkl 2 2 0
38.18°, intensity 24, hkl 0 4 0
39.08°, intensity 55, hkl 2 0 4
43.69°, intensity 56, hkl 2 2 4
44.78°, intensity 22, hkl 0 4 4
45.98°, intensity 30, hkl 0 0 8
60.40°, intensity 31, hkl 2 2 8